# Cs5S
Theoretical powder diffractogram, Cu Kα. Input: the PBE geometry in Alexandria.
Peak positions follow from Bragg's law for the DFT cell and can differ from measured ones.

abc: 4.635 37.333 5.822
angles: 90.00 90.00 90.00
Positions (direct):
1 Cs 0.000 0.000 0.000
2 Cs 0.000 0.070 0.500
3 Cs 0.000 0.316 0.000
4 Cs 0.000 0.684 0.000
5 Cs 0.000 0.930 0.500
6 Cs 0.500 0.184 0.000
7 Cs 0.500 0.430 0.500
8 Cs 0.500 0.500 0.000
9 Cs 0.500 0.570 0.500
10 Cs 0.500 0.816 0.000
11 S 0.000 0.500 0.500
12 S 0.500 0.000 0.500

Principal peaks in the range 2θ = 10–80°, in order of falling intensity:
| Position (°2θ) | d/Å | I_rel | (hkl) |
| --- | --- | --- | --- |
| 20.90 | 4.251 | 100 | 0 6 1 |
| 29.80 | 2.999 | 71 | 1 7 1 |
| 20.45 | 4.343 | 62 | 1 3 0 |
| 32.81 | 2.730 | 54 | 1 9 1 |
| 25.59 | 3.481 | 52 | 1 3 1 |
| 15.95 | 5.558 | 42 | 0 2 1 |
| 30.72 | 2.911 | 32 | 0 0 2 |
| 44.53 | 2.035 | 27 | 2 6 1 |
| 37.18 | 2.418 | 27 | 1 3 2 |
| 19.02 | 4.667 | 25 | 0 8 0 |